For Pu2ZrPd5, a cell relaxed with PBE gives the calculated powder XRD pattern in this record (Cu Kα, 1.54184 Å).
Kinematic intensities with the Lorentz-polarization factor, no thermal factor.

Structural model:
```
Pu2ZrPd5
1.0
5.822 0.000 0.000
0.000 11.023 0.000
0.000 0.000 4.845
Pu Zr Pd
4 2 10
direct
0.138 0.148 0.000
0.362 0.648 0.000
0.638 0.352 0.000
0.862 0.852 0.000
0.000 0.500 0.500
0.500 0.000 0.500
0.000 0.000 0.500
0.154 0.404 0.000
0.180 0.762 0.500
0.320 0.262 0.500
0.346 0.904 0.000
0.500 0.500 0.500
0.654 0.096 0.000
0.680 0.738 0.500
0.820 0.238 0.500
0.846 0.596 0.000
```

Most intense lines, 10 to 90 degrees two-theta, low angle first:
(0 0 1), 2θ = 18.3°, I = 212; (1 2 1), 2θ = 28.9°, I = 174; (1 3 1), 2θ = 34.3°, I = 174; (2 1 1), 2θ = 36.9°, I = 966; (0 0 2), 2θ = 37.1°, I = 681; (0 4 1), 2θ = 37.5°, I = 1000; (2 3 0), 2θ = 39.5°, I = 253; (2 2 1), 2θ = 39.7°, I = 219; (1 4 1), 2θ = 40.7°, I = 246; (2 3 2), 2θ = 55.3°, I = 189; (2 1 3), 2θ = 66.8°, I = 236; (0 4 3), 2θ = 67.2°, I = 304